Theoretical X-ray powder pattern
Compound: Al9CrB2O18
Radiation: Cu Ka
Structure: a cell relaxed with PBE+U

Crystal structure
Cell: 5.7814 7.7867 8.1376 Å, 90.14 110.66 90.15°
Space group P1 (No. 1)
Unique sites:
Al1 0.0000 0.0000 0.0000
Al2 0.0384 0.3513 0.0848
Al3 0.1067 0.1839 0.7197
Al4 0.1801 0.9975 0.3714
Al5 0.2903 0.5030 0.6017
Al6 0.3724 0.6842 0.2582
Al7 0.4438 0.8501 0.8969
Al8 0.4822 0.5026 0.9791
Al9 0.8751 0.6836 0.2553
Cr1 0.6038 0.1859 0.7190
B1 0.7251 0.9608 0.4545
B2 0.7531 0.4665 0.5188
O1 0.0750 0.8178 0.1529
O2 0.0921 0.1473 0.1926
O3 0.1914 0.6124 0.3972
O4 0.1919 0.9840 0.8708
O5 0.2695 0.1105 0.5735
O6 0.2922 0.4847 0.1103
O7 0.3841 0.6481 0.7852
O8 0.3966 0.3211 0.8258
O9 0.4826 0.8997 0.3924
O10 0.5479 0.7452 0.1056
O11 0.5728 0.4072 0.5821
O12 0.6802 0.9764 0.8747
O13 0.6924 0.5920 0.3937
O14 0.7952 0.0869 0.5794
O15 0.8051 0.4836 0.1051
O16 0.8975 0.8969 0.3869
O17 0.9445 0.2474 0.8757
O18 0.9920 0.4017 0.5843

Most intense lines, 10° ≤ 2θ ≤ 90°, sorted by position:
hkl 0 1 1, 2θ = 16.28°, I = 100
hkl 1 0 -1, 2θ = 16.41°, I = 14
hkl 1 1 -1, 2θ = 20.00°, I = 43
hkl 1 0 1, 2θ = 23.31°, I = 13
hkl 0 1 -2, 2θ = 26.02°, I = 13
hkl 0 1 2, 2θ = 26.09°, I = 19
hkl 0 2 -2, 2θ = 32.84°, I = 17
hkl 0 2 2, 2θ = 32.95°, I = 19
hkl 2 1 0, 2θ = 35.14°, I = 18
hkl 2 0 -3, 2θ = 39.13°, I = 12